Record 1
This entry pairs a crystal structure of KGdTiO4 with its computed powder diffractogram. Radiation: Cu Kα, 1.54184 Å. Structure: a structure optimized by DFT (GGA-PBE).

a = 13.1714 Å, b = 5.5253 Å, c = 5.4108 Å
α = 90.00°, β = 90.00°, γ = 90.00°
Fractional positions:
K 0.0956 0.0213 0.2500
K 0.0956 0.4787 0.7500
K 0.9044 0.5213 0.2500
K 0.9044 0.9787 0.7500
Gd 0.3988 0.0258 0.2500
Gd 0.3988 0.4742 0.7500
Gd 0.6012 0.5258 0.2500
Gd 0.6012 0.9742 0.7500
Ti 0.2538 0.5079 0.2500
Ti 0.2538 0.9921 0.7500
Ti 0.7462 0.0079 0.2500
Ti 0.7462 0.4921 0.7500
O 0.1200 0.5361 0.2500
O 0.1200 0.9639 0.7500
O 0.2720 0.2500 0.0000
O 0.2720 0.2500 0.5000
O 0.2982 0.7500 0.0000
O 0.2982 0.7500 0.5000
O 0.4375 0.0654 0.7500
O 0.4375 0.4346 0.2500
O 0.5625 0.5654 0.7500
O 0.5625 0.9346 0.2500
O 0.7018 0.2500 0.0000
O 0.7018 0.2500 0.5000
O 0.7280 0.7500 0.0000
O 0.7280 0.7500 0.5000
O 0.8800 0.0361 0.2500
O 0.8800 0.4639 0.7500

Main lines, sorted by position (5 to 70 degrees two-theta):
Position (°2θ)	I_rel
6.7	100
26.7	23
30.8	54
32.4	14
33.1	19
47.0	16
56.8	9
57.7	9

=====

Record 2
This entry pairs a crystal structure of KGdZrTiO6 with its computed powder diffractogram. Radiation: Cu Kα, 1.54184 Å. Structure: a structure optimized by DFT (GGA-PBE).

a = 5.7085 Å, b = 5.7085 Å, c = 5.7085 Å
α = 60.00°, β = 60.00°, γ = 60.00°
Fractional positions:
K 0.0000 0.0000 0.0000
Gd 0.5000 0.5000 0.5000
Zr 0.7500 0.7500 0.7500
Ti 0.2500 0.2500 0.2500
O 0.0079 0.0079 0.4921
O 0.0079 0.4921 0.0079
O 0.0079 0.4921 0.4921
O 0.4921 0.0079 0.0079
O 0.4921 0.0079 0.4921
O 0.4921 0.4921 0.0079

Main lines, sorted by position (5 to 70 degrees two-theta):
Position (°2θ)	I_rel
19.0	35
31.3	100
36.9	22
38.6	9
44.9	36
49.2	10
55.8	38
65.4	21

=====

Record 3
This entry pairs a crystal structure of KGdS2 with its computed powder diffractogram. Radiation: Cu Kα, 1.54184 Å. Structure: a structure optimized by DFT (GGA-PBE).

a = 4.0931 Å, b = 4.0931 Å, c = 22.0057 Å
α = 90.00°, β = 90.00°, γ = 120.00°
Fractional positions:
K 0.0000 0.0000 0.0000
K 0.3333 0.6667 0.6667
K 0.6667 0.3333 0.3333
Gd 0.0000 0.0000 0.5000
Gd 0.3333 0.6667 0.1667
Gd 0.6667 0.3333 0.8333
S 0.0000 0.0000 0.2346
S 0.0000 0.0000 0.7654
S 0.3333 0.6667 0.4321
S 0.3333 0.6667 0.9012
S 0.6667 0.3333 0.0988
S 0.6667 0.3333 0.5679

Main lines, sorted by position (5 to 70 degrees two-theta):
Position (°2θ)	I_rel
12.1	73
25.5	25
26.4	34
30.0	100
38.3	19
41.6	35
44.3	34
54.4	17